Record 1
For Nd2Sm15Tm2, the GGA-PBE geometry in Alexandria gives the simulated XRD peak list in this record (Cu Kα, 1.54184 Å).
Lines closer than 0.1° are merged.

Structure:
a = 8.8479 Å, b = 8.8479 Å, c = 8.8479 Å
α = 79.61°, β = 79.61°, γ = 79.61°
Fractional coordinates of all 19 atoms:
1 Nd 0.1780 0.1780 0.1780
2 Nd 0.8220 0.8220 0.8220
3 Sm 0.0000 0.5000 0.5000
4 Sm 0.1283 0.1283 0.6509
5 Sm 0.1283 0.6509 0.1283
6 Sm 0.2055 0.5000 0.7945
7 Sm 0.2055 0.7945 0.5000
8 Sm 0.3491 0.8717 0.8717
9 Sm 0.5000 0.0000 0.5000
10 Sm 0.5000 0.2055 0.7945
11 Sm 0.5000 0.5000 0.0000
12 Sm 0.5000 0.7945 0.2055
13 Sm 0.6509 0.1283 0.1283
14 Sm 0.7945 0.2055 0.5000
15 Sm 0.7945 0.5000 0.2055
16 Sm 0.8717 0.3491 0.8717
17 Sm 0.8717 0.8717 0.3491
18 Tm 0.4054 0.4054 0.4054
19 Tm 0.5946 0.5946 0.5946

Principal peaks in the range 10 to 90 degrees two-theta, in order of falling intensity:
2θ (°), Rel. int.
31.20, 1000
35.08, 711
30.95, 697
31.59, 642
26.99, 335
27.27, 317
29.99, 274
56.26, 260
34.00, 227
55.86, 221
54.02, 189
50.73, 169

Record 2
For KBa3As2O8, the GGA-PBE geometry in Alexandria gives the simulated XRD peak list in this record (Cu Kα, 1.54184 Å).
Lines closer than 0.1° are merged.

Structure:
a = 5.9007 Å, b = 5.9007 Å, c = 9.3450 Å
α = 90.00°, β = 90.00°, γ = 120.00°
Fractional coordinates of all 14 atoms:
1 K 0.0000 0.0000 0.0000
2 Ba 0.0000 0.0000 0.5000
3 Ba 0.3333 0.6667 0.2268
4 Ba 0.6667 0.3333 0.7732
5 As 0.3333 0.6667 0.6796
6 As 0.6667 0.3333 0.3204
7 O 0.1730 0.3461 0.7402
8 O 0.1730 0.8270 0.7402
9 O 0.3333 0.6667 0.4939
10 O 0.3461 0.1730 0.2598
11 O 0.6539 0.8270 0.7402
12 O 0.6667 0.3333 0.5061
13 O 0.8270 0.1730 0.2598
14 O 0.8270 0.6539 0.2598

Principal peaks in the range 10 to 90 degrees two-theta, in order of falling intensity:
2θ (°), Rel. int.
25.84, 1000
30.29, 891
40.23, 391
51.18, 285
53.82, 171
18.99, 167
49.78, 162
42.55, 154
62.36, 151
63.01, 146
69.28, 124
36.46, 122

Record 3
For KCd2Sn2Pb, the GGA-PBE geometry in Alexandria gives the simulated XRD peak list in this record (Cu Kα, 1.54184 Å).
Lines closer than 0.1° are merged.

Structure:
a = 5.2065 Å, b = 5.2065 Å, c = 7.7375 Å
α = 90.00°, β = 90.00°, γ = 120.00°
Fractional coordinates of all 6 atoms:
1 K 0.0000 0.0000 0.0000
2 Cd 0.3333 0.6667 0.7035
3 Cd 0.6667 0.3333 0.2965
4 Sn 0.3333 0.6667 0.2768
5 Sn 0.6667 0.3333 0.7232
6 Pb 0.0000 0.0000 0.5000

Principal peaks in the range 10 to 90 degrees two-theta, in order of falling intensity:
2θ (°), Rel. int.
30.44, 1000
34.45, 889
11.44, 535
46.63, 308
59.25, 301
40.28, 228
36.41, 219
59.54, 197
61.72, 164
70.84, 143
80.76, 126
65.67, 112

Record 4
For CsBPb2, the GGA-PBE geometry in Alexandria gives the simulated XRD peak list in this record (Cu Kα, 1.54184 Å).
Lines closer than 0.1° are merged.

Structure:
a = 7.6081 Å, b = 7.6081 Å, c = 7.6081 Å
α = 120.85°, β = 120.85°, γ = 88.54°
Fractional coordinates of all 8 atoms:
1 Cs 0.0000 0.0000 0.0000
2 Cs 0.7500 0.2500 0.5000
3 B 0.2500 0.7500 0.5000
4 B 0.5000 0.5000 0.0000
5 Pb 0.2876 0.6250 0.1626
6 Pb 0.3750 0.5376 0.6626
7 Pb 0.4624 0.1250 0.8374
8 Pb 0.8750 0.7124 0.3374

Principal peaks in the range 10 to 90 degrees two-theta, in order of falling intensity:
2θ (°), Rel. int.
27.79, 1000
23.39, 493
28.88, 398
27.28, 352
37.88, 215
36.44, 203
51.02, 186
14.32, 174
54.50, 146
56.52, 135
47.84, 119
44.27, 110